Theoretical X-ray powder pattern
Compound: RbCu4S2Br
Radiation: Cu Ka
Structure: a GGA-PBE-relaxed structure

Main lines, in order of rising 2θ (2θ = 5–70°):
2theta  Rel. int.
28.12  87
36.09  100
41.16  42
45.20  58
54.09  26
54.83  29

Atomic structure:
```
RbCu4S2Br
1.0
4.0117 0.0000 0.0000
0.0000 4.0117 0.0000
0.0000 0.0000 10.3705
Rb Cu S Br
1 4 2 1
direct
0.0000 0.0000 0.0000
0.0000 0.5000 0.2995
0.0000 0.5000 0.7005
0.5000 0.0000 0.2995
0.5000 0.0000 0.7005
0.5000 0.5000 0.2047
0.5000 0.5000 0.7953
0.0000 0.0000 0.5000
```



Theoretical X-ray powder pattern
Compound: Rb2Cu2SbBr6
Radiation: Cu Ka
Structure: a GGA-PBE-relaxed structure

Main lines, in order of rising 2θ (2θ = 5–70°):
2theta  Rel. int.
22.46  65
24.74  65
25.80  70
26.86  65
31.83  86
33.87  100

Atomic structure:
```
Rb2Cu2SbBr6
1.0
7.2643 -3.8293 0.0000
7.2643 3.8293 0.0000
-2.6953 0.0000 6.9072
Rb Cu Sb Br
2 2 1 6
direct
0.2256 0.2256 0.2060
0.7744 0.7744 0.7940
0.4563 0.4563 0.8035
0.5437 0.5437 0.1965
0.0000 0.0000 0.5000
0.1929 0.6856 0.2005
0.2843 0.2843 0.7069
0.3144 0.8071 0.7995
0.6856 0.1929 0.2005
0.7157 0.7157 0.2931
0.8071 0.3144 0.7995
```



Theoretical X-ray powder pattern
Compound: RbCuSe2Br
Radiation: Cu Ka
Structure: a GGA-PBE-relaxed structure

Main lines, in order of rising 2θ (2θ = 5–70°):
2theta  Rel. int.
27.59  73
29.98  100
37.88  62
47.50  64
50.29  23
62.29  28

Atomic structure:
```
RbCuSe2Br
1.0
4.7506 0.0000 0.0000
0.0000 4.7506 0.0000
0.0000 0.0000 6.4668
Rb Cu Se Br
1 1 2 1
direct
0.0000 0.0000 0.0000
0.5000 0.5000 0.5000
0.0000 0.5000 0.5000
0.5000 0.0000 0.5000
0.5000 0.5000 0.0000
```



Theoretical X-ray powder pattern
Compound: RbTlCuBr3
Radiation: Cu Ka
Structure: a GGA-PBE-relaxed structure

Main lines, in order of rising 2θ (2θ = 5–70°):
2theta  Rel. int.
25.02  100
30.99  56
32.38  26
32.58  52
33.74  38
39.87  25

Atomic structure:
```
RbTlCuBr3
1.0
8.7010 -2.8860 0.0000
8.7010 2.8860 0.0000
-2.7322 0.0000 8.6297
Rb Tl Cu Br
2 2 2 6
direct
0.1463 0.1463 0.0886
0.8537 0.8537 0.9114
0.1418 0.1418 0.5765
0.8582 0.8582 0.4235
0.4977 0.4977 0.2570
0.5023 0.5023 0.7430
0.0021 0.0021 0.7340
0.3550 0.3550 0.1639
0.3598 0.3598 0.6619
0.6402 0.6402 0.3381
0.6450 0.6450 0.8361
0.9979 0.9979 0.2660
```



Theoretical X-ray powder pattern
Compound: Rb3TmCu2Br9
Radiation: Cu Ka
Structure: a GGA-PBE-relaxed structure

Main lines, in order of rising 2θ (2θ = 5–70°):
2theta  Rel. int.
16.42  33
28.71  44
33.20  100
47.49  34
47.82  35
59.45  18

Atomic structure:
```
Rb3TmCu2Br9
1.0
7.6081 0.0000 0.0000
-3.8040 6.5888 0.0000
0.0000 0.0000 9.4099
Rb Tm Cu Br
3 1 2 9
direct
0.0000 0.0000 0.0000
0.3333 0.6667 0.6773
0.6667 0.3333 0.3227
0.0000 0.0000 0.5000
0.3333 0.6667 0.1375
0.6667 0.3333 0.8625
0.0000 0.5000 0.0000
0.1703 0.3407 0.3303
0.1703 0.8297 0.3303
0.3407 0.1703 0.6697
0.5000 0.0000 0.0000
0.5000 0.5000 0.0000
0.6593 0.8297 0.3303
0.8297 0.1703 0.6697
0.8297 0.6593 0.6697
```



Theoretical X-ray powder pattern
Compound: CuRhBr
Radiation: Cu Ka
Structure: a GGA-PBE-relaxed structure

Main lines, in order of rising 2θ (2θ = 5–70°):
2theta  Rel. int.
32.94  43
39.91  100
44.83  18
56.74  17
63.54  24
68.95  9

Atomic structure:
```
CuRhBr
1.0
0.0000 2.7192 6.0652
1.5736 0.0000 6.0652
1.5736 2.7192 0.0000
Cu Rh Br
1 1 1
direct
0.0000 0.0000 0.0000
0.3417 0.3417 0.6583
0.6697 0.6697 0.3303
```



Theoretical X-ray powder pattern
Compound: Cu2RhBr6
Radiation: Cu Ka
Structure: a GGA-PBE-relaxed structure

Main lines, in order of rising 2θ (2θ = 5–70°):
2theta  Rel. int.
12.29  97
20.03  37
24.72  68
31.30  60
32.08  100
48.11  50

Atomic structure:
```
Cu2RhBr6
1.0
7.2383 -5.7643 0.0000
7.2383 5.7643 0.0000
-0.6390 0.0000 6.4961
Cu Rh Br
4 2 12
direct
0.0165 0.1871 0.2744
0.1871 0.0165 0.7744
0.8129 0.9835 0.2256
0.9835 0.8129 0.7256
0.4185 0.5815 0.7500
0.5815 0.4185 0.2500
0.0290 0.2207 0.6362
0.1624 0.6259 0.8786
0.2207 0.0290 0.1362
0.3323 0.4755 0.4072
0.3741 0.8376 0.6214
0.4755 0.3323 0.9072
0.5245 0.6677 0.0928
0.6259 0.1624 0.3786
0.6677 0.5245 0.5928
0.7793 0.9710 0.8638
0.8376 0.3741 0.1214
0.9710 0.7793 0.3638
```



Theoretical X-ray powder pattern
Compound: Cu2RhBr6
Radiation: Cu Ka
Structure: a GGA-PBE-relaxed structure

Main lines, in order of rising 2θ (2θ = 5–70°):
2theta  Rel. int.
13.60  100
28.13  45
31.42  71
40.16  36
46.68  26
49.49  26

Atomic structure:
```
Cu2RhBr6
1.0
7.6865 -1.8324 0.0000
7.6865 1.8324 0.0000
-2.1737 0.0000 8.7939
Cu Rh Br
2 1 6
direct
0.1696 0.1696 0.3692
0.8304 0.8304 0.6308
0.5000 0.5000 0.0000
0.0432 0.0432 0.8415
0.3427 0.3427 0.8341
0.3507 0.3507 0.4537
0.6493 0.6493 0.5463
0.6573 0.6573 0.1659
0.9568 0.9568 0.1585
```



Theoretical X-ray powder pattern
Compound: CuRhBr
Radiation: Cu Ka
Structure: a GGA-PBE-relaxed structure

Main lines, in order of rising 2θ (2θ = 5–70°):
2theta  Rel. int.
30.94  76
34.60  75
39.91  52
40.05  100
46.78  57
52.35  64

Atomic structure:
```
CuRhBr
1.0
10.1547 0.0000 0.0000
0.0000 1.7371 3.0333
0.0000 -1.7371 3.0333
Cu Rh Br
2 2 2
direct
0.0000 0.0000 0.0000
0.5000 0.0032 0.0032
0.1418 0.6686 0.6686
0.8582 0.6686 0.6686
0.3258 0.3346 0.3346
0.6742 0.3346 0.3346
```



Theoretical X-ray powder pattern
Compound: Cu4S3Br
Radiation: Cu Ka
Structure: a GGA-PBE-relaxed structure

Main lines, in order of rising 2θ (2θ = 5–70°):
2theta  Rel. int.
27.42  43
27.60  100
28.23  80
31.08  77
48.59  67
51.80  68

Atomic structure:
```
Cu4S3Br
1.0
7.4463 0.0000 0.0000
0.0000 6.5058 0.0000
0.0000 0.0000 6.3213
Cu S Br
8 6 2
direct
0.0000 0.1559 0.0000
0.0000 0.7955 0.5633
0.2242 0.6493 0.0703
0.2758 0.3507 0.5703
0.5000 0.2045 0.0633
0.5000 0.8441 0.5000
0.7242 0.3507 0.5703
0.7758 0.6493 0.0703
0.0000 0.8225 0.9168
0.2481 0.3367 0.9217
0.2519 0.6633 0.4217
0.5000 0.1775 0.4168
0.7481 0.6633 0.4217
0.7519 0.3367 0.9217
0.0000 0.1588 0.4154
0.5000 0.8412 0.9154
```



Theoretical X-ray powder pattern
Compound: Cu4SeSBr2
Radiation: Cu Ka
Structure: a GGA-PBE-relaxed structure

Main lines, in order of rising 2θ (2θ = 5–70°):
2theta  Rel. int.
26.94  100
27.05  76
30.21  63
46.21  69
49.14  43
49.80  75

Atomic structure:
```
Cu4SeSBr2
1.0
7.5430 0.0000 0.0000
0.0000 6.9048 0.0000
0.0000 0.0000 6.5934
Cu Se S Br
8 2 2 4
direct
0.0000 0.1268 0.0000
0.0000 0.8569 0.4808
0.2381 0.6864 0.0319
0.2619 0.3136 0.5319
0.5000 0.1431 0.9808
0.5000 0.8732 0.5000
0.7381 0.3136 0.5319
0.7619 0.6864 0.0319
0.0000 0.1598 0.6460
0.5000 0.8402 0.1460
0.0000 0.8385 0.1470
0.5000 0.1615 0.6470
0.2497 0.3370 0.1467
0.2503 0.6630 0.6467
0.7503 0.3370 0.1467
0.7497 0.6630 0.6467
```



Theoretical X-ray powder pattern
Compound: CuTeSBr
Radiation: Cu Ka
Structure: a GGA-PBE-relaxed structure

Main lines, in order of rising 2θ (2θ = 5–70°):
2theta  Rel. int.
15.34  100
24.50  71
27.82  89
28.73  55
29.35  45
31.63  50

Atomic structure:
```
CuTeSBr
1.0
7.9636 0.0000 0.0000
0.0000 5.0079 0.0000
-5.1220 0.0000 11.5546
Cu Te S Br
4 4 4 4
direct
0.1886 0.1235 0.2506
0.1886 0.3765 0.7506
0.8114 0.6235 0.2494
0.8114 0.8765 0.7494
0.2959 0.0180 0.6493
0.2959 0.4820 0.1493
0.7041 0.5180 0.8507
0.7041 0.9820 0.3507
0.4077 0.6933 0.8232
0.4077 0.8067 0.3232
0.5923 0.1933 0.6768
0.5923 0.3067 0.1768
0.0724 0.1677 0.8829
0.0724 0.3323 0.3829
0.9276 0.6677 0.6171
0.9276 0.8323 0.1171
```